CsSrTaO4: calculated X-ray diffraction stick pattern (Cu Kα), based on the GGA-PBE geometry in Alexandria.
Neutral-atom scattering factors, no anomalous dispersion.

Top 8 peaks for 10 to 80 degrees two-theta, in order of falling intensity:
26.6°, rel. 100, (0 1 2); 27.4°, rel. 80, (0 2 0); 20.4°, rel. 63, (1 0 1); 31.0°, rel. 54, (2 1 -1); 27.2°, rel. 47, (1 1 -2); 17.7°, rel. 46, (0 1 1); 34.5°, rel. 45, (2 1 -2); 39.9°, rel. 40, (2 2 0)

Cell and atoms:
```
14
Lattice="6.493 0.000 0.000 0.000 6.517 0.000 -2.120 0.000 7.809" Properties=species:S:1:pos:R:3 pbc="T T T"
Cs 0.399 1.629 3.329
Cs 3.974 4.887 4.480
Sr -0.040 1.629 7.437
Sr 4.413 4.887 0.372
Ta 1.149 4.887 1.176
Ta 3.224 1.629 6.633
O -1.766 4.887 7.311
O -0.314 4.887 2.346
O 2.334 3.430 1.313
O 2.334 6.344 1.313
O 2.039 0.172 6.496
O 2.039 3.086 6.496
O 4.687 1.629 5.463
O 6.140 1.629 0.498
```